1.
# CaPm2TaN4
Computed powder XRD pattern, Cu Kα. Input: a cell relaxed with GGA-PBE.
Lines closer than 0.1° are merged.

Cell and atoms:
Cell: 6.3405 6.3405 12.5871 Å, 90.00 90.00 148.17°
Element x y z (fractional)
Ca: 0.1100 0.8900 0.7500
Ca: 0.8900 0.1100 0.2500
Pm: 0.3694 0.6306 0.5312
Pm: 0.3694 0.6306 0.9688
Pm: 0.6306 0.3694 0.0312
Pm: 0.6306 0.3694 0.4688
Ta: 0.1614 0.8386 0.2500
Ta: 0.8386 0.1614 0.7500
N: 0.0000 0.0000 0.0000
N: 0.0000 0.0000 0.5000
N: 0.2611 0.7389 0.1310
N: 0.2611 0.7389 0.3690
N: 0.4284 0.5716 0.7500
N: 0.5716 0.4284 0.2500
N: 0.7389 0.2611 0.6310
N: 0.7389 0.2611 0.8690

The 12 most intense peaks (2θ from 10° to 90°), most intense first:
| two_theta | intensity |
| --- | --- |
| 36.89 | 100 |
| 30.26 | 76 |
| 16.15 | 70 |
| 28.36 | 51 |
| 29.29 | 41 |
| 38.70 | 34 |
| 34.29 | 33 |
| 41.23 | 28 |
| 50.63 | 22 |
| 58.27 | 21 |
| 61.30 | 20 |
| 68.93 | 19 |

2.
# Ca2PmWN4
Computed powder XRD pattern, Cu Kα. Input: a cell relaxed with GGA-PBE.
Lines closer than 0.1° are merged.

Cell and atoms:
Cell: 7.6743 6.7429 5.3435 Å, 90.00 90.00 90.00°
Element x y z (fractional)
Ca: 0.2502 0.1591 0.0000
Ca: 0.2498 0.8409 0.5000
Ca: 0.7498 0.1591 0.0000
Ca: 0.7502 0.8409 0.5000
Pm: 0.0000 0.3441 0.4997
Pm: 0.5000 0.6559 0.9997
W: 0.0000 0.6672 0.0359
W: 0.5000 0.3328 0.5359
N: 0.0000 0.3853 0.9637
N: 0.0000 0.6693 0.3860
N: 0.2126 0.7997 0.9544
N: 0.2874 0.2003 0.4544
N: 0.5000 0.3307 0.8860
N: 0.5000 0.6147 0.4637
N: 0.7126 0.2003 0.4544
N: 0.7874 0.7997 0.9544

The 12 most intense peaks (2θ from 10° to 90°), most intense first:
| two_theta | intensity |
| --- | --- |
| 31.62 | 100 |
| 21.22 | 63 |
| 31.37 | 58 |
| 58.81 | 49 |
| 26.73 | 48 |
| 33.54 | 43 |
| 13.13 | 36 |
| 46.84 | 34 |
| 23.18 | 34 |
| 39.37 | 25 |
| 43.40 | 22 |
| 57.93 | 22 |